Entry 1:
# TaAlSi
Calculated powder diffractogram, Cu Ka. Input: a cell relaxed with PBE.

Crystal structure
Cell: 4.981 8.459 8.890 Å, 90.00 90.00 90.00°
Space group F222 (No. 22)
One atom of each set of equivalent atoms:
1 Ta 0.000 0.000 0.000 (multiplicity 4)
2 Ta 0.250 0.250 0.250 (multiplicity 4)
3 Al 0.000 0.164 0.500 (multiplicity 8)
4 Si 0.250 0.087 0.750 (multiplicity 8)

Largest 8 diffraction maxima, low angle first, 2θ = 10–90°:
2theta	intensity	(hkl)
23.0	100	1 1 1
29.1	58	0 2 2
36.9	31	1 1 3
38.0	69	1 3 1
40.6	29	0 0 4
41.6	54	2 0 2
42.1	22	2 2 0
48.1	35	1 3 3

Entry 2:
# Ta5Al2Si2
Calculated powder diffractogram, Cu Ka. Input: a cell relaxed with PBE.

Crystal structure
Cell: 13.268 6.853 6.674 Å, 90.00 90.00 90.00°
Space group Cmce (No. 64)
One atom of each set of equivalent atoms:
1 Ta 0.000 0.000 0.000 (multiplicity 4)
2 Ta 0.126 0.171 0.328 (multiplicity 16)
3 Al 0.215 0.000 0.000 (multiplicity 8)
4 Si 0.000 0.124 0.624 (multiplicity 8)

Largest 8 diffraction maxima, low angle first, 2θ = 10–90°:
2theta	intensity	(hkl)
29.3	87	0 2 1
30.6	64	1 1 2
36.2	68	3 1 2
37.7	64	4 2 0
38.3	63	4 0 2
40.2	100	4 2 1
42.4	52	1 3 1
43.3	50	1 1 3